Simulated powder diffractogram
Compound: Tb2Dy2YHo2
Radiation: Cu Kα
Structure: a structure optimized by DFT (PBE)

abc: 8.7500 8.7500 8.7500
angles: 37.66 37.66 37.66
Sites, in units of the cell vectors:
Tb  0.1411  0.1411  0.1411
Tb  0.8589  0.8589  0.8589
Dy  0.2838  0.2838  0.2838
Dy  0.7162  0.7162  0.7162
Y  0.0000  0.0000  0.0000
Ho  0.4279  0.4279  0.4279
Ho  0.5721  0.5721  0.5721

Principal peaks in the range 15° ≤ 2θ ≤ 90°, by angle:
| Position (°2θ) | intensity |
| --- | --- |
| 31.6 | 100 |
| 31.7 | 99 |
| 45.3 | 37 |
| 56.1 | 19 |
| 56.4 | 58 |
| 65.9 | 12 |
| 66.2 | 12 |
| 74.9 | 16 |
| 75.2 | 17 |
| 83.8 | 6 |